Simulated X-ray diffraction stick pattern
Compound: Cs2MnCl4
Radiation: Cu Kα X-rays
Structure: a crystal structure in the Materials Project, relaxed with GGA-PBE
No peak broadening, texture or thermal motion is included.

Cell and atoms:
```
Cs2MnCl4
1.0
-2.613 2.613 8.540
2.613 -2.613 8.540
2.613 2.613 -8.540
Cs Mn Cl
2 1 4
Direct
0.144 0.144 0.000 Cs
0.856 0.856 0.000 Cs
0.500 0.500 0.000 Mn
0.000 0.500 0.500 Cl
0.353 0.353 0.000 Cl
0.500 0.000 0.500 Cl
0.647 0.647 0.000 Cl
```

Most intense lines, 10° ≤ 2θ ≤ 80°, by angle:
d 3.850, 2θ 23.10, I = 100
d 3.695, 2θ 24.09, I = 92
d 2.794, 2θ 32.03, I = 84
d 2.613, 2θ 34.32, I = 77
d 2.162, 2θ 41.79, I = 43
d 1.925, 2θ 47.22, I = 34
d 1.848, 2θ 49.32, I = 33
d 1.653, 2θ 55.61, I = 34


Simulated X-ray diffraction stick pattern
Compound: Cs3MnCl5
Radiation: Cu Kα X-rays
Structure: a crystal structure in the Materials Project, relaxed with GGA-PBE
No peak broadening, texture or thermal motion is included.

Cell and atoms:
```
Cs3MnCl5
1.0
-4.714 4.714 7.491
4.714 -4.714 7.491
4.714 4.714 -7.491
Cs Mn Cl
6 2 10
Direct
0.165 0.665 0.830 Cs
0.250 0.250 0.000 Cs
0.335 0.165 0.500 Cs
0.665 0.835 0.500 Cs
0.750 0.750 0.000 Cs
0.835 0.335 0.170 Cs
0.250 0.750 0.500 Mn
0.750 0.250 0.500 Mn
0.000 0.000 0.000 Cl
0.015 0.797 0.500 Cl
0.203 0.703 0.218 Cl
0.297 0.515 0.500 Cl
0.485 0.985 0.782 Cl
0.500 0.500 0.000 Cl
0.515 0.015 0.218 Cl
0.703 0.485 0.500 Cl
0.797 0.297 0.782 Cl
0.985 0.203 0.500 Cl
```

Most intense lines, 10° ≤ 2θ ≤ 80°, by angle:
d 4.059, 2θ 21.90, I = 33
d 3.990, 2θ 22.28, I = 64
d 3.746, 2θ 23.75, I = 28
d 3.334, 2θ 26.74, I = 25
d 3.222, 2θ 27.69, I = 100
d 2.982, 2θ 29.97, I = 45
d 2.490, 2θ 36.07, I = 20
d 2.334, 2θ 38.57, I = 20